Starting from a structure optimized by DFT (PBE), the powder diffraction line list of Ca2SiO4 was computed for a wavelength of 1.5418 Å.

Atomic structure:
```
data_Ca2SiO4
_chemical_formula_sum 'Ca8 Si4 O16'
_space_group_name_H-M_alt 'P 1'
_space_group_IT_number 1
_cell_length_a 11.344
_cell_length_b 6.809
_cell_length_c 5.124
_cell_angle_alpha 90.00
_cell_angle_beta 90.00
_cell_angle_gamma 90.00
loop_
_space_group_symop_operation_xyz
'x,y,z'
loop_
_atom_site_label
_atom_site_fract_x
_atom_site_fract_y
_atom_site_fract_z
Ca1 0.000 0.000 0.000
Ca2 0.000 0.500 0.000
Ca3 0.219 0.250 0.492
Ca4 0.281 0.750 0.992
Ca5 0.500 0.000 0.500
Ca6 0.500 0.500 0.500
Ca7 0.719 0.250 0.008
Ca8 0.781 0.750 0.508
Si1 0.096 0.750 0.427
Si2 0.404 0.250 0.927
Si3 0.596 0.750 0.073
Si4 0.904 0.250 0.573
O1 0.039 0.250 0.703
O2 0.093 0.750 0.747
O3 0.162 0.555 0.296
O4 0.162 0.945 0.296
O5 0.338 0.055 0.796
O6 0.338 0.445 0.796
O7 0.407 0.250 0.247
O8 0.461 0.750 0.203
O9 0.539 0.250 0.797
O10 0.593 0.750 0.753
O11 0.662 0.555 0.204
O12 0.662 0.945 0.204
O13 0.838 0.055 0.704
O14 0.838 0.445 0.704
O15 0.907 0.250 0.253
O16 0.961 0.750 0.297
```

Largest 12 diffraction maxima, most intense first, 2θ = 10–80°:
- 32.55 deg, I 100
- 29.36 deg, I 77
- 32.23 deg, I 65
- 47.20 deg, I 63
- 50.11 deg, I 30
- 20.38 deg, I 30
- 23.10 deg, I 29
- 55.60 deg, I 26
- 51.58 deg, I 23
- 53.85 deg, I 22
- 47.85 deg, I 18
- 30.63 deg, I 16

---

Starting from a structure optimized by DFT (PBE), the powder diffraction line list of K2EuCuCl6 was computed for a wavelength of 1.5418 Å.

Atomic structure:
```
data_K2EuCuCl6
_chemical_formula_sum 'K2 Eu1 Cu1 Cl6'
_space_group_name_H-M_alt 'P 1'
_space_group_IT_number 1
_cell_length_a 7.372
_cell_length_b 7.372
_cell_length_c 7.372
_cell_angle_alpha 60.00
_cell_angle_beta 60.00
_cell_angle_gamma 60.00
loop_
_space_group_symop_operation_xyz
'x,y,z'
loop_
_atom_site_label
_atom_site_fract_x
_atom_site_fract_y
_atom_site_fract_z
K1 0.250 0.250 0.250
K2 0.750 0.750 0.750
Eu1 0.000 0.000 0.000
Cu1 0.500 0.500 0.500
Cl1 0.262 0.262 0.738
Cl2 0.262 0.738 0.262
Cl3 0.262 0.738 0.738
Cl4 0.738 0.262 0.262
Cl5 0.738 0.262 0.738
Cl6 0.738 0.738 0.262
```

Largest 12 diffraction maxima, most intense first, 2θ = 10–80°:
- 24.14 deg, I 100
- 34.41 deg, I 99
- 17.01 deg, I 97
- 49.45 deg, I 64
- 38.62 deg, I 48
- 42.48 deg, I 44
- 52.67 deg, I 24
- 67.19 deg, I 23
- 55.76 deg, I 21
- 61.63 deg, I 21
- 28.39 deg, I 19
- 14.72 deg, I 15

---

Starting from a structure optimized by DFT (PBE), the powder diffraction line list of Sm3Co2Ge4 was computed for a wavelength of 1.5418 Å.

Atomic structure:
```
data_Sm3Co2Ge4
_chemical_formula_sum 'Sm3 Co2 Ge4'
_space_group_name_H-M_alt 'P 1'
_space_group_IT_number 1
_cell_length_a 5.859
_cell_length_b 5.859
_cell_length_c 8.151
_cell_angle_alpha 106.50
_cell_angle_beta 106.50
_cell_angle_gamma 41.89
loop_
_space_group_symop_operation_xyz
'x,y,z'
loop_
_atom_site_label
_atom_site_fract_x
_atom_site_fract_y
_atom_site_fract_z
Sm1 0.000 0.000 0.000
Sm2 0.381 0.381 0.308
Sm3 0.619 0.619 0.692
Co1 0.305 0.305 0.627
Co2 0.695 0.695 0.373
Ge1 0.105 0.105 0.399
Ge2 0.289 0.289 0.917
Ge3 0.711 0.711 0.083
Ge4 0.895 0.895 0.601
```

Largest 12 diffraction maxima, most intense first, 2θ = 10–80°:
- 32.76 deg, I 100
- 34.45 deg, I 86
- 33.50 deg, I 66
- 43.20 deg, I 53
- 42.54 deg, I 44
- 39.65 deg, I 41
- 34.66 deg, I 40
- 33.65 deg, I 36
- 24.42 deg, I 29
- 63.73 deg, I 22
- 56.52 deg, I 19
- 55.28 deg, I 17

---

Starting from a structure optimized by DFT (PBE), the powder diffraction line list of Th2SN2 was computed for a wavelength of 1.5418 Å.

Atomic structure:
```
data_Th2SN2
_chemical_formula_sum 'Th2 S1 N2'
_space_group_name_H-M_alt 'P 1'
_space_group_IT_number 1
_cell_length_a 4.023
_cell_length_b 4.023
_cell_length_c 6.942
_cell_angle_alpha 90.00
_cell_angle_beta 90.00
_cell_angle_gamma 120.00
loop_
_space_group_symop_operation_xyz
'x,y,z'
loop_
_atom_site_label
_atom_site_fract_x
_atom_site_fract_y
_atom_site_fract_z
Th1 0.333 0.667 0.288
Th2 0.667 0.333 0.712
S1 0.000 0.000 0.000
N1 0.333 0.667 0.631
N2 0.667 0.333 0.369
```

Largest 12 diffraction maxima, most intense first, 2θ = 10–80°:
- 28.67 deg, I 100
- 25.62 deg, I 41
- 36.54 deg, I 30
- 45.07 deg, I 28
- 52.58 deg, I 22
- 47.15 deg, I 21
- 54.29 deg, I 18
- 73.15 deg, I 15
- 61.04 deg, I 10
- 59.51 deg, I 10
- 59.36 deg, I 8
- 77.53 deg, I 7

---

Starting from a structure optimized by DFT (PBE), the powder diffraction line list of Mg3Si2H4O9 was computed for a wavelength of 1.5418 Å.

Atomic structure:
```
data_Mg3Si2H4O9
_chemical_formula_sum 'Mg3 Si2 H4 O9'
_space_group_name_H-M_alt 'P 1'
_space_group_IT_number 1
_cell_length_a 5.371
_cell_length_b 5.371
_cell_length_c 7.378
_cell_angle_alpha 90.00
_cell_angle_beta 90.00
_cell_angle_gamma 120.00
loop_
_space_group_symop_operation_xyz
'x,y,z'
loop_
_atom_site_label
_atom_site_fract_x
_atom_site_fract_y
_atom_site_fract_z
Mg1 0.000 0.331 0.000
Mg2 0.331 0.000 0.000
Mg3 0.669 0.669 0.000
Si1 0.333 0.667 0.618
Si2 0.667 0.333 0.618
H1 0.000 0.000 0.718
H2 0.000 0.651 0.264
H3 0.349 0.349 0.264
H4 0.651 0.000 0.264
O1 0.000 0.000 0.849
O2 0.000 0.511 0.535
O3 0.000 0.665 0.133
O4 0.333 0.667 0.837
O5 0.335 0.335 0.133
O6 0.489 0.489 0.535
O7 0.511 0.000 0.535
O8 0.665 0.000 0.133
O9 0.667 0.333 0.837
```

Largest 12 diffraction maxima, most intense first, 2θ = 10–80°:
- 35.57 deg, I 100
- 12.00 deg, I 80
- 24.13 deg, I 50
- 41.59 deg, I 49
- 22.60 deg, I 45
- 19.08 deg, I 34
- 50.31 deg, I 31
- 59.63 deg, I 28
- 60.94 deg, I 28
- 71.40 deg, I 18
- 30.94 deg, I 15
- 61.07 deg, I 13

---

Starting from a structure optimized by DFT (PBE), the powder diffraction line list of LiAl2H4Pb2O4F6 was computed for a wavelength of 1.5418 Å.

Atomic structure:
```
data_LiAl2H4Pb2O4F6
_chemical_formula_sum 'Li1 Al2 H4 Pb2 O4 F6'
_space_group_name_H-M_alt 'P 1'
_space_group_IT_number 1
_cell_length_a 5.302
_cell_length_b 6.449
_cell_length_c 7.201
_cell_angle_alpha 106.51
_cell_angle_beta 95.30
_cell_angle_gamma 104.71
loop_
_space_group_symop_operation_xyz
'x,y,z'
loop_
_atom_site_label
_atom_site_fract_x
_atom_site_fract_y
_atom_site_fract_z
Li1 0.000 0.000 0.000
Al1 0.137 0.631 0.267
Al2 0.440 0.970 0.655
H1 0.072 0.007 0.421
H2 0.545 0.611 0.459
H3 0.566 0.653 0.113
H4 0.984 0.839 0.672
Pb1 0.134 0.488 0.780
Pb2 0.584 0.117 0.217
O1 0.143 0.871 0.769
O2 0.224 0.947 0.417
O3 0.380 0.645 0.492
O4 0.400 0.694 0.108
F1 0.056 0.334 0.115
F2 0.465 0.268 0.766
F3 0.645 0.944 0.861
F4 0.743 0.053 0.559
F5 0.857 0.558 0.394
F6 0.919 0.685 0.078
```

Largest 12 diffraction maxima, most intense first, 2θ = 10–80°:
- 19.49 deg, I 100
- 19.97 deg, I 52
- 26.37 deg, I 51
- 26.23 deg, I 43
- 30.24 deg, I 43
- 23.76 deg, I 42
- 40.61 deg, I 42
- 16.44 deg, I 41
- 25.71 deg, I 40
- 34.29 deg, I 40
- 22.88 deg, I 38
- 35.60 deg, I 29

---

Starting from a structure optimized by DFT (PBE), the powder diffraction line list of Ba4La2Cu6O13 was computed for a wavelength of 1.5418 Å.

Atomic structure:
```
data_Ba4La2Cu6O13
_chemical_formula_sum 'Ba4 La2 Cu6 O13'
_space_group_name_H-M_alt 'P 1'
_space_group_IT_number 1
_cell_length_a 12.673
_cell_length_b 12.649
_cell_length_c 5.604
_cell_angle_alpha 77.45
_cell_angle_beta 76.97
_cell_angle_gamma 25.57
loop_
_space_group_symop_operation_xyz
'x,y,z'
loop_
_atom_site_label
_atom_site_fract_x
_atom_site_fract_y
_atom_site_fract_z
Ba1 0.149 0.662 0.851
Ba2 0.338 0.851 0.662
Ba3 0.662 0.149 0.338
Ba4 0.851 0.338 0.149
La1 0.000 0.500 0.000
La2 0.500 0.000 0.500
Cu1 0.075 0.573 0.427
Cu2 0.237 0.763 0.237
Cu3 0.427 0.925 0.075
Cu4 0.573 0.075 0.925
Cu5 0.763 0.237 0.763
Cu6 0.925 0.427 0.573
O1 0.000 0.000 0.000
O2 0.183 0.183 0.817
O3 0.185 0.185 0.315
O4 0.194 0.656 0.344
O5 0.315 0.315 0.185
O6 0.315 0.315 0.685
O7 0.344 0.806 0.194
O8 0.656 0.194 0.806
O9 0.685 0.685 0.315
O10 0.685 0.685 0.815
O11 0.806 0.344 0.656
O12 0.815 0.815 0.685
O13 0.817 0.817 0.183
```

Largest 12 diffraction maxima, most intense first, 2θ = 10–80°:
- 31.93 deg, I 100
- 31.60 deg, I 48
- 56.49 deg, I 34
- 45.30 deg, I 23
- 57.11 deg, I 17
- 46.27 deg, I 14
- 39.23 deg, I 13
- 22.20 deg, I 10
- 66.78 deg, I 8
- 37.41 deg, I 8
- 76.63 deg, I 8
- 66.70 deg, I 6

---

Starting from a structure optimized by DFT (PBE), the powder diffraction line list of Pr3Si2ClO8 was computed for a wavelength of 1.5418 Å.

Atomic structure:
```
data_Pr3Si2ClO8
_chemical_formula_sum 'Pr6 Si4 Cl2 O16'
_space_group_name_H-M_alt 'P 1'
_space_group_IT_number 1
_cell_length_a 7.905
_cell_length_b 7.905
_cell_length_c 8.874
_cell_angle_alpha 97.41
_cell_angle_beta 97.41
_cell_angle_gamma 48.55
loop_
_space_group_symop_operation_xyz
'x,y,z'
loop_
_atom_site_label
_atom_site_fract_x
_atom_site_fract_y
_atom_site_fract_z
Pr1 0.074 0.926 0.750
Pr2 0.210 0.420 0.329
Pr3 0.420 0.210 0.829
Pr4 0.580 0.790 0.171
Pr5 0.790 0.580 0.671
Pr6 0.926 0.074 0.250
Si1 0.103 0.212 0.025
Si2 0.212 0.103 0.525
Si3 0.788 0.897 0.475
Si4 0.897 0.788 0.975
Cl1 0.476 0.524 0.250
Cl2 0.524 0.476 0.750
O1 0.041 0.268 0.845
O2 0.049 0.796 0.468
O3 0.096 0.619 0.856
O4 0.204 0.317 0.581
O5 0.204 0.951 0.032
O6 0.268 0.041 0.345
O7 0.317 0.204 0.081
O8 0.381 0.904 0.644
O9 0.619 0.096 0.356
O10 0.683 0.796 0.919
O11 0.732 0.959 0.655
O12 0.796 0.049 0.968
O13 0.796 0.683 0.419
O14 0.904 0.381 0.144
O15 0.951 0.204 0.532
O16 0.959 0.732 0.155
```

Largest 12 diffraction maxima, most intense first, 2θ = 10–80°:
- 29.30 deg, I 100
- 37.86 deg, I 92
- 23.18 deg, I 84
- 29.96 deg, I 72
- 20.22 deg, I 70
- 46.58 deg, I 66
- 44.84 deg, I 58
- 26.38 deg, I 58
- 32.69 deg, I 57
- 25.27 deg, I 56
- 43.08 deg, I 56
- 47.87 deg, I 42

---

Starting from a structure optimized by DFT (PBE), the powder diffraction line list of Ca3AsP was computed for a wavelength of 1.5418 Å.

Atomic structure:
```
data_Ca3AsP
_chemical_formula_sum 'Ca3 As1 P1'
_space_group_name_H-M_alt 'P 1'
_space_group_IT_number 1
_cell_length_a 5.334
_cell_length_b 5.334
_cell_length_c 5.334
_cell_angle_alpha 90.00
_cell_angle_beta 90.00
_cell_angle_gamma 90.00
loop_
_space_group_symop_operation_xyz
'x,y,z'
loop_
_atom_site_label
_atom_site_fract_x
_atom_site_fract_y
_atom_site_fract_z
Ca1 0.000 0.000 0.500
Ca2 0.000 0.500 0.000
Ca3 0.500 0.000 0.000
As1 0.500 0.500 0.500
P1 0.000 0.000 0.000
```

Largest 12 diffraction maxima, most intense first, 2θ = 10–80°:
- 28.99 deg, I 100
- 33.60 deg, I 92
- 48.26 deg, I 62
- 57.29 deg, I 39
- 23.59 deg, I 37
- 60.09 deg, I 21
- 41.47 deg, I 16
- 78.10 deg, I 15
- 70.64 deg, I 9
- 65.47 deg, I 9
- 54.39 deg, I 7
- 75.64 deg, I 4

---

Please write out number 6 again, unchanged.
Starting from a structure optimized by DFT (PBE), the powder diffraction line list of LiAl2H4Pb2O4F6 was computed for a wavelength of 1.5418 Å.

Atomic structure:
```
data_LiAl2H4Pb2O4F6
_chemical_formula_sum 'Li1 Al2 H4 Pb2 O4 F6'
_space_group_name_H-M_alt 'P 1'
_space_group_IT_number 1
_cell_length_a 5.302
_cell_length_b 6.449
_cell_length_c 7.201
_cell_angle_alpha 106.51
_cell_angle_beta 95.30
_cell_angle_gamma 104.71
loop_
_space_group_symop_operation_xyz
'x,y,z'
loop_
_atom_site_label
_atom_site_fract_x
_atom_site_fract_y
_atom_site_fract_z
Li1 0.000 0.000 0.000
Al1 0.137 0.631 0.267
Al2 0.440 0.970 0.655
H1 0.072 0.007 0.421
H2 0.545 0.611 0.459
H3 0.566 0.653 0.113
H4 0.984 0.839 0.672
Pb1 0.134 0.488 0.780
Pb2 0.584 0.117 0.217
O1 0.143 0.871 0.769
O2 0.224 0.947 0.417
O3 0.380 0.645 0.492
O4 0.400 0.694 0.108
F1 0.056 0.334 0.115
F2 0.465 0.268 0.766
F3 0.645 0.944 0.861
F4 0.743 0.053 0.559
F5 0.857 0.558 0.394
F6 0.919 0.685 0.078
```

Largest 12 diffraction maxima, most intense first, 2θ = 10–80°:
- 19.49 deg, I 100
- 19.97 deg, I 52
- 26.37 deg, I 51
- 26.23 deg, I 43
- 30.24 deg, I 43
- 23.76 deg, I 42
- 40.61 deg, I 42
- 16.44 deg, I 41
- 25.71 deg, I 40
- 34.29 deg, I 40
- 22.88 deg, I 38
- 35.60 deg, I 29